No. 1
Structure and computed powder XRD pattern of TaNb3Fe (a DFT-relaxed cell (GGA-PBE, Alexandria); CuKα).
Intensities are scaled so that the largest is 100.

Atomic structure:
```
data_TaNb3Fe
_cell_length_a 5.3655
_cell_length_b 13.5692
_cell_length_c 4.9081
_cell_angle_alpha 90.00
_cell_angle_beta 90.00
_cell_angle_gamma 90.00
_symmetry_space_group_name_H-M 'C m c m'
_symmetry_Int_Tables_number 63
_symmetry_space_group_name_Hall '-C 2c 2'
loop_
_atom_site_label
_atom_site_fract_x
_atom_site_fract_y
_atom_site_fract_z
Ta1 0.0000 0.0584 0.2500
Nb1 0.0000 0.3351 0.7500
Nb2 0.2432 0.1502 0.7500
Fe1 0.0000 0.5000 0.0000
```

Largest 10 diffraction maxima, sorted by position, 2θ from 15° to 90°:
| 2theta | Rel. int. | h k l |
| --- | --- | --- |
| 31.7 | 31 | 1 3 1 |
| 32.1 | 28 | 0 4 1 |
| 36.0 | 20 | 2 2 0 |
| 36.6 | 37 | 0 0 2 |
| 40.6 | 100 | 2 2 1 |
| 41.0 | 22 | 1 1 2 |
| 41.6 | 45 | 1 5 1 |
| 45.3 | 25 | 1 3 2 |
| 68.1 | 22 | 2 8 1 |
| 68.6 | 21 | 2 2 3 |

No. 2
Structure and computed powder XRD pattern of NbFe8Tc3 (a DFT-relaxed cell (GGA-PBE, Alexandria); CuKα).
Intensities are scaled so that the largest is 100.

Atomic structure:
```
data_NbFe8Tc3
_cell_length_a 4.6630
_cell_length_b 4.6630
_cell_length_c 7.7440
_cell_angle_alpha 90.00
_cell_angle_beta 90.00
_cell_angle_gamma 120.00
_symmetry_space_group_name_H-M 'P 3 m 1'
_symmetry_Int_Tables_number 156
_symmetry_space_group_name_Hall 'P 3 -2"'
loop_
_atom_site_label
_atom_site_fract_x
_atom_site_fract_y
_atom_site_fract_z
Nb1 0.0000 0.0000 0.0000
Fe1 0.1631 0.3263 0.6819
Fe2 0.3333 0.6667 0.4333
Fe3 0.3333 0.6667 0.9319
Fe4 0.5035 0.0070 0.1859
Tc1 0.0000 0.0000 0.3731
Tc2 0.6667 0.3333 0.4980
Tc3 0.6667 0.3333 0.8548
```

Largest 10 diffraction maxima, sorted by position, 2θ from 15° to 90°:
| 2theta | Rel. int. | h k l |
| --- | --- | --- |
| 38.6 | 52 | 1 1 0 |
| 41.5 | 100 | 1 0 3 |
| 44.9 | 14 | 2 0 0 |
| 45.4 | 100 | 1 1 2 |
| 46.5 | 75 | 0 2 1 |
| 46.9 | 11 | 0 0 4 |
| 71.9 | 34 | 2 1 3 |
| 74.6 | 21 | 0 3 2 |
| 77.7 | 31 | 0 2 5 |
| 82.8 | 24 | 2 2 0 |

No. 3
Structure and computed powder XRD pattern of Ti4NbFe5 (a DFT-relaxed cell (GGA-PBE, Alexandria); CuKα).
Intensities are scaled so that the largest is 100.

Atomic structure:
```
data_Ti4NbFe5
_cell_length_a 2.9665
_cell_length_b 2.9665
_cell_length_c 14.9926
_cell_angle_alpha 90.00
_cell_angle_beta 90.00
_cell_angle_gamma 90.00
_symmetry_space_group_name_H-M 'P 4/m m m'
_symmetry_Int_Tables_number 123
_symmetry_space_group_name_Hall '-P 4 2'
loop_
_atom_site_label
_atom_site_fract_x
_atom_site_fract_y
_atom_site_fract_z
Ti1 0.0000 0.0000 0.0986
Ti2 0.0000 0.0000 0.2958
Nb1 0.0000 0.0000 0.5000
Fe1 0.5000 0.5000 0.0000
Fe2 0.5000 0.5000 0.1963
Fe3 0.5000 0.5000 0.3925
```

Largest 10 diffraction maxima, sorted by position, 2θ from 15° to 90°:
| 2theta | Rel. int. | h k l |
| --- | --- | --- |
| 30.7 | 2 | 1 0 1 |
| 32.5 | 2 | 1 0 2 |
| 35.2 | 2 | 1 0 3 |
| 38.7 | 3 | 1 0 4 |
| 42.9 | 100 | 1 0 5 |
| 43.1 | 50 | 1 1 0 |
| 61.9 | 8 | 0 0 10 |
| 62.6 | 15 | 2 0 0 |
| 78.4 | 14 | 1 1 10 |
| 78.9 | 29 | 2 1 5 |